1.
Diffraction record for Dy4MnSe7. The powder diffractogram is calculated, not measured: it uses a cell relaxed with PBE and copper Kα.
Lines closer than 0.1° are merged.

Main lines, sorted by position (2θ = 10–90°):
(2 0 2), 23.4 deg, 3.800 Å, intensity 91; (2 0 -3), 23.6 deg, 3.776 Å, intensity 70; (3 1 -1), 30.5 deg, 2.934 Å, intensity 77; (3 1 0), 30.9 deg, 2.891 Å, intensity 78; (3 1 -2), 32.0 deg, 2.799 Å, intensity 98; (3 1 1), 33.3 deg, 2.693 Å, intensity 92; (3 1 -3), 35.2 deg, 2.549 Å, intensity 47; (1 1 4), 40.6 deg, 2.220 Å, intensity 67; (0 2 0), 45.7 deg, 1.985 Å, intensity 100; (6 0 -4), 46.0 deg, 1.973 Å, intensity 48

Cell and atoms:
```
data_Dy4MnSe7
_symmetry_space_group_name_H-M 'C 1 m 1'
_symmetry_Int_Tables_number 8
_cell_length_a 13.1263
_cell_length_b 3.9711
_cell_length_c 12.0357
_cell_angle_alpha 90.00
_cell_angle_beta 105.40
_cell_angle_gamma 90.00
loop_
_symmetry_equiv_pos_as_xyz
'x,y,z'
'x,-y,z'
'x+1/2,y+1/2,z'
'x+1/2,-y+1/2,z'
loop_
_atom_site_label
_atom_site_type_symbol
_atom_site_fract_x
_atom_site_fract_y
_atom_site_fract_z
_atom_site_occupancy
Dy1 Dy 0.0000 0.0000 0.0000 1
Dy2 Dy 0.0684 0.5000 0.3512 1
Dy3 Dy 0.1926 0.5000 0.7910 1
Dy4 Dy 0.3855 0.0000 0.5932 1
Mn1 Mn 0.3006 0.5000 0.2084 1
Se1 Se 0.0308 0.0000 0.7364 1
Se2 Se 0.1562 0.5000 0.0093 1
Se3 Se 0.1758 0.0000 0.2627 1
Se4 Se 0.2251 0.5000 0.5679 1
Se5 Se 0.3543 0.0000 0.8389 1
Se6 Se 0.4129 0.0000 0.1381 1
Se7 Se 0.4380 0.5000 0.4254 1
```

***

2.
Diffraction record for Dy2YMnSe6. The powder diffractogram is calculated, not measured: it uses a cell relaxed with PBE and copper Kα.
Lines closer than 0.1° are merged.

Main lines, sorted by position (2θ = 10–90°):
(-1 1 1), 17.3 deg, 5.123 Å, intensity 55; (0 1 1), 23.8 deg, 3.738 Å, intensity 50; (1 -2 0), 25.3 deg, 3.518 Å, intensity 22; (2 -1 0), 29.1 deg, 3.073 Å, intensity 84; (0 2 -2), 35.0 deg, 2.562 Å, intensity 34; (1 1 1), 38.3 deg, 2.349 Å, intensity 100; (2 -3 1), 43.7 deg, 2.071 Å, intensity 30; (3 0 -2), 44.6 deg, 2.031 Å, intensity 63; (1 -1 3), 50.5 deg, 1.807 Å, intensity 23; (-2 4 2), 60.2 deg, 1.537 Å, intensity 20

Cell and atoms:
```
data_Dy2YMnSe6
_symmetry_space_group_name_H-M 'P 1'
_symmetry_Int_Tables_number 1
_cell_length_a 7.0292
_cell_length_b 7.0366
_cell_length_c 7.5000
_cell_angle_alpha 90.09
_cell_angle_beta 117.87
_cell_angle_gamma 119.93
loop_
_symmetry_equiv_pos_as_xyz
'x,y,z'
loop_
_atom_site_label
_atom_site_type_symbol
_atom_site_fract_x
_atom_site_fract_y
_atom_site_fract_z
_atom_site_occupancy
Dy1 Dy 0.0000 0.0000 0.0000 1
Dy2 Dy 0.0056 0.5031 0.5087 1
Y1 Y 0.3961 0.6977 0.0942 1
Mn1 Mn 0.3887 0.1940 0.5830 1
Se1 Se 0.2263 0.4066 0.3204 1
Se2 Se 0.2342 0.2997 0.8021 1
Se3 Se 0.5010 0.0943 0.3209 1
Se4 Se 0.5024 0.9338 0.8028 1
Se5 Se 0.8685 0.5682 0.8030 1
Se6 Se 0.9137 0.8195 0.3203 1
```

***

3.
Diffraction record for DyMn2Si3. The powder diffractogram is calculated, not measured: it uses a cell relaxed with PBE and copper Kα.
Lines closer than 0.1° are merged.

Main lines, sorted by position (2θ = 10–90°):
(1 1 1), 23.1 deg, 3.844 Å, intensity 97; (0 2 1), 29.8 deg, 2.996 Å, intensity 46; (3 1 0), 30.9 deg, 2.898 Å, intensity 38; (2 2 1), 35.5 deg, 2.530 Å, intensity 96; (3 1 1), 35.6 deg, 2.522 Å, intensity 100; (1 3 0), 37.8 deg, 2.383 Å, intensity 62; (2 0 2), 40.1 deg, 2.251 Å, intensity 66; (0 2 2), 43.0 deg, 2.104 Å, intensity 44; (5 3 0), 61.9 deg, 1.499 Å, intensity 36; (3 1 3), 63.2 deg, 1.471 Å, intensity 36

Cell and atoms:
```
data_DyMn2Si3
_symmetry_space_group_name_H-M 'C m c m'
_symmetry_Int_Tables_number 63
_symmetry_space_group_name_Hall '-C 2c 2'
_cell_length_a 9.4500
_cell_length_b 7.3868
_cell_length_c 5.1208
_cell_angle_alpha 90.00
_cell_angle_beta 90.00
_cell_angle_gamma 90.00
loop_
_atom_site_label
_atom_site_type_symbol
_atom_site_fract_x
_atom_site_fract_y
_atom_site_fract_z
_atom_site_occupancy
Dy1 Dy 0.0000 0.1650 0.2500 1
Mn1 Mn 0.2034 0.5000 0.0000 1
Si1 Si 0.0000 0.4388 0.7500 1
Si2 Si 0.1837 0.2174 0.7500 1
```

***

4.
Diffraction record for Dy3MnTe6. The powder diffractogram is calculated, not measured: it uses a cell relaxed with PBE and copper Kα.
Lines closer than 0.1° are merged.

Main lines, sorted by position (2θ = 10–90°):
(1 1 1), 15.4 deg, 5.750 Å, intensity 26; (2 2 1), 22.6 deg, 3.927 Å, intensity 50; (1 3 1), 23.2 deg, 3.838 Å, intensity 32; (0 4 1), 27.3 deg, 3.262 Å, intensity 24; (3 3 1), 31.3 deg, 2.857 Å, intensity 100; (3 1 2), 33.7 deg, 2.663 Å, intensity 83; (0 4 2), 34.8 deg, 2.581 Å, intensity 50; (3 5 0), 38.1 deg, 2.363 Å, intensity 46; (6 0 0), 45.0 deg, 2.016 Å, intensity 28; (3 7 3), 63.1 deg, 1.474 Å, intensity 23

Cell and atoms:
```
data_Dy3MnTe6
_symmetry_space_group_name_H-M 'C m c 21'
_symmetry_Int_Tables_number 36
_cell_length_a 12.0987
_cell_length_b 14.5782
_cell_length_c 7.3114
_cell_angle_alpha 90.00
_cell_angle_beta 90.00
_cell_angle_gamma 90.00
loop_
_symmetry_equiv_pos_as_xyz
'x,y,z'
'-x,-y,z+1/2'
'-x,y,z'
'x,-y,z+1/2'
'x+1/2,y+1/2,z'
'-x+1/2,-y+1/2,z+1/2'
'-x+1/2,y+1/2,z'
'x+1/2,-y+1/2,z+1/2'
loop_
_atom_site_label
_atom_site_type_symbol
_atom_site_fract_x
_atom_site_fract_y
_atom_site_fract_z
_atom_site_occupancy
Dy1 Dy 0.0000 0.0990 0.0000 1
Dy2 Dy 0.1771 0.4025 0.1024 1
Mn1 Mn 0.0000 0.2906 0.6456 1
Te1 Te 0.0000 0.2744 0.2803 1
Te2 Te 0.0000 0.4598 0.7939 1
Te3 Te 0.1638 0.0366 0.3005 1
Te4 Te 0.1746 0.2316 0.8255 1
```

***

5.
Diffraction record for DyThMn. The powder diffractogram is calculated, not measured: it uses a cell relaxed with PBE and copper Kα.
Lines closer than 0.1° are merged.

Main lines, sorted by position (2θ = 10–90°):
(2 0 0), 26.2 deg, 3.395 Å, intensity 100; (1 0 -2), 28.1 deg, 3.172 Å, intensity 35; (0 2 1), 29.9 deg, 2.986 Å, intensity 82; (2 0 -2), 33.6 deg, 2.666 Å, intensity 39; (1 0 2), 34.4 deg, 2.609 Å, intensity 50; (2 2 0), 37.5 deg, 2.401 Å, intensity 47; (2 2 -1), 37.6 deg, 2.389 Å, intensity 47; (1 2 -2), 38.9 deg, 2.317 Å, intensity 28; (2 2 1), 42.7 deg, 2.119 Å, intensity 29; (0 4 1), 56.1 deg, 1.639 Å, intensity 38

Cell and atoms:
```
data_DyThMn
_symmetry_space_group_name_H-M 'P 1 21/c 1'
_symmetry_Int_Tables_number 14
_cell_length_a 7.0199
_cell_length_b 6.7886
_cell_length_c 6.4900
_cell_angle_alpha 90.00
_cell_angle_beta 104.66
_cell_angle_gamma 90.00
loop_
_symmetry_equiv_pos_as_xyz
'x,y,z'
'-x,-y,-z'
'-x,y+1/2,-z+1/2'
'x,-y+1/2,z+1/2'
loop_
_atom_site_label
_atom_site_type_symbol
_atom_site_fract_x
_atom_site_fract_y
_atom_site_fract_z
_atom_site_occupancy
Dy1 Dy 0.2365 0.0744 0.1770 1
Th1 Th 0.2493 0.5737 0.1785 1
Mn1 Mn 0.4858 0.7498 0.4960 1
```

***

6.
Diffraction record for Dy4MnTl. The powder diffractogram is calculated, not measured: it uses a cell relaxed with PBE and copper Kα.
Lines closer than 0.1° are merged.

Main lines, sorted by position (2θ = 10–90°):
(0 4 0), 27.6 deg, 3.231 Å, intensity 30; (1 3 1), 29.6 deg, 3.016 Å, intensity 30; (1 1 -2), 30.4 deg, 2.937 Å, intensity 62; (3 1 -1), 32.1 deg, 2.789 Å, intensity 71; (2 2 1), 32.9 deg, 2.725 Å, intensity 100; (1 3 -2), 36.4 deg, 2.470 Å, intensity 59; (3 3 -1), 37.8 deg, 2.381 Å, intensity 29; (1 5 -1), 38.4 deg, 2.344 Å, intensity 41; (4 2 -3), 56.6 deg, 1.626 Å, intensity 23; (3 5 2), 63.7 deg, 1.461 Å, intensity 19

Cell and atoms:
```
data_Dy4MnTl
_symmetry_space_group_name_H-M 'C 1 2/c 1'
_symmetry_Int_Tables_number 15
_cell_length_a 8.7452
_cell_length_b 12.9223
_cell_length_c 6.0418
_cell_angle_alpha 90.00
_cell_angle_beta 106.73
_cell_angle_gamma 90.00
loop_
_symmetry_equiv_pos_as_xyz
'x,y,z'
'-x,-y,-z'
'-x,y,-z+1/2'
'x,-y,z+1/2'
'x+1/2,y+1/2,z'
'-x+1/2,-y+1/2,-z'
'-x+1/2,y+1/2,-z+1/2'
'x+1/2,-y+1/2,z+1/2'
loop_
_atom_site_label
_atom_site_type_symbol
_atom_site_fract_x
_atom_site_fract_y
_atom_site_fract_z
_atom_site_occupancy
Dy1 Dy 0.1070 0.1655 0.0446 1
Dy2 Dy 0.2211 0.4212 0.3909 1
Mn1 Mn 0.0000 0.0007 0.2500 1
Tl1 Tl 0.0000 0.3747 0.7500 1
```

***

7.
Diffraction record for DyMnZn17. The powder diffractogram is calculated, not measured: it uses a cell relaxed with PBE and copper Kα.
Lines closer than 0.1° are merged.

Main lines, sorted by position (2θ = 10–90°):
(3 0 0), 35.0 deg, 2.561 Å, intensity 25; (0 2 4), 35.8 deg, 2.509 Å, intensity 20; (2 2 0), 40.7 deg, 2.217 Å, intensity 100; (0 0 6), 40.8 deg, 2.209 Å, intensity 20; (2 0 5), 41.4 deg, 2.183 Å, intensity 19; (2 2 3), 45.8 deg, 1.982 Å, intensity 37; (1 1 6), 45.9 deg, 1.978 Å, intensity 12; (3 3 3), 66.7 deg, 1.402 Å, intensity 11; (6 0 0), 74.0 deg, 1.281 Å, intensity 15; (0 3 9), 74.3 deg, 1.277 Å, intensity 11

Cell and atoms:
```
data_DyMnZn17
_symmetry_space_group_name_H-M 'R 3 m'
_symmetry_Int_Tables_number 160
_symmetry_space_group_name_Hall 'R 3 -2"'
_cell_length_a 8.8719
_cell_length_b 8.8719
_cell_length_c 13.2563
_cell_angle_alpha 90.00
_cell_angle_beta 90.00
_cell_angle_gamma 120.00
loop_
_atom_site_label
_atom_site_type_symbol
_atom_site_fract_x
_atom_site_fract_y
_atom_site_fract_z
_atom_site_occupancy
Dy1 Dy 0.0000 0.0000 0.0000 1
Mn1 Mn 0.0000 0.0000 0.2741 1
Zn1 Zn 0.0000 0.0000 0.5585 1
Zn2 Zn 0.0000 0.0000 0.7600 1
Zn3 Zn 0.0052 0.5026 0.8166 1
Zn4 Zn 0.0283 0.3504 0.3299 1
Zn5 Zn 0.1711 0.3423 0.5025 1
Zn6 Zn 0.1726 0.3453 0.8383 1
```

***

8.
Diffraction record for DyMo4. The powder diffractogram is calculated, not measured: it uses a cell relaxed with PBE and copper Kα.
Lines closer than 0.1° are merged.

Main lines, sorted by position (2θ = 10–90°):
(1 0 0), 18.9 deg, 4.687 Å, intensity 50; (1 1 0), 26.9 deg, 3.314 Å, intensity 43; (1 1 1), 33.1 deg, 2.706 Å, intensity 36; (2 0 0), 38.4 deg, 2.343 Å, intensity 100; (2 1 0), 43.2 deg, 2.096 Å, intensity 24; (2 1 1), 47.5 deg, 1.913 Å, intensity 19; (2 2 0), 55.5 deg, 1.657 Å, intensity 67; (3 0 0), 59.1 deg, 1.562 Å, intensity 12; (3 1 1), 66.1 deg, 1.413 Å, intensity 13; (2 2 2), 69.5 deg, 1.353 Å, intensity 23

Cell and atoms:
```
data_DyMo4
_symmetry_space_group_name_H-M 'P m -3 m'
_symmetry_Int_Tables_number 221
_symmetry_space_group_name_Hall '-P 4 2 3'
_cell_length_a 4.6866
_cell_length_b 4.6866
_cell_length_c 4.6866
_cell_angle_alpha 90.00
_cell_angle_beta 90.00
_cell_angle_gamma 90.00
loop_
_atom_site_label
_atom_site_type_symbol
_atom_site_fract_x
_atom_site_fract_y
_atom_site_fract_z
_atom_site_occupancy
Dy1 Dy 0.0000 0.0000 0.0000 1
Mo1 Mo 0.0000 0.0000 0.5000 1
Mo2 Mo 0.5000 0.5000 0.5000 1
```

***

9.
Diffraction record for NdDy2MoN4. The powder diffractogram is calculated, not measured: it uses a cell relaxed with PBE and copper Kα.
Lines closer than 0.1° are merged.

Main lines, sorted by position (2θ = 10–90°):
(0 2 3), 27.1 deg, 3.288 Å, intensity 39; (0 0 4), 30.1 deg, 2.966 Å, intensity 42; (0 4 0), 30.2 deg, 2.957 Å, intensity 46; (1 1 2), 31.0 deg, 2.886 Å, intensity 100; (1 3 1), 35.4 deg, 2.533 Å, intensity 39; (1 3 2), 37.9 deg, 2.375 Å, intensity 70; (0 4 4), 43.2 deg, 2.094 Å, intensity 22; (1 5 2), 49.2 deg, 1.852 Å, intensity 24; (1 3 5), 52.3 deg, 1.749 Å, intensity 40; (2 4 0), 62.4 deg, 1.487 Å, intensity 23

Cell and atoms:
```
data_NdDy2MoN4
_symmetry_space_group_name_H-M 'C m c m'
_symmetry_Int_Tables_number 63
_symmetry_space_group_name_Hall '-C 2c 2'
_cell_length_a 3.4403
_cell_length_b 11.8265
_cell_length_c 11.8657
_cell_angle_alpha 90.00
_cell_angle_beta 90.00
_cell_angle_gamma 90.00
loop_
_atom_site_label
_atom_site_type_symbol
_atom_site_fract_x
_atom_site_fract_y
_atom_site_fract_z
_atom_site_occupancy
Nd1 Nd 0.0000 0.0963 0.2500 1
Dy1 Dy 0.0000 0.3700 0.0394 1
Mo1 Mo 0.0000 0.1628 0.7500 1
N1 N 0.0000 0.0000 0.0000 1
N2 N 0.0000 0.2632 0.6226 1
N3 N 0.0000 0.4387 0.2500 1
```

***

10.
Diffraction record for PmDy2MoN4. The powder diffractogram is calculated, not measured: it uses a cell relaxed with PBE and copper Kα.
Lines closer than 0.1° are merged.

Main lines, sorted by position (2θ = 10–90°):
(0 2 3), 27.2 deg, 3.279 Å, intensity 39; (0 0 4), 30.2 deg, 2.961 Å, intensity 42; (0 4 0), 30.4 deg, 2.943 Å, intensity 48; (1 1 2), 31.1 deg, 2.877 Å, intensity 100; (1 3 1), 35.6 deg, 2.524 Å, intensity 37; (1 3 2), 38.0 deg, 2.367 Å, intensity 73; (0 4 4), 43.3 deg, 2.088 Å, intensity 24; (1 5 2), 49.4 deg, 1.845 Å, intensity 25; (1 3 5), 52.4 deg, 1.746 Å, intensity 20; (2 0 0), 53.4 deg, 1.714 Å, intensity 18

Cell and atoms:
```
data_PmDy2MoN4
_symmetry_space_group_name_H-M 'C m c m'
_symmetry_Int_Tables_number 63
_symmetry_space_group_name_Hall '-C 2c 2'
_cell_length_a 3.4287
_cell_length_b 11.7735
_cell_length_c 11.8450
_cell_angle_alpha 90.00
_cell_angle_beta 90.00
_cell_angle_gamma 90.00
loop_
_atom_site_label
_atom_site_type_symbol
_atom_site_fract_x
_atom_site_fract_y
_atom_site_fract_z
_atom_site_occupancy
Pm1 Pm 0.0000 0.0996 0.2500 1
Dy1 Dy 0.0000 0.3698 0.0392 1
Mo1 Mo 0.0000 0.1600 0.7500 1
N1 N 0.0000 0.0000 0.0000 1
N2 N 0.0000 0.2635 0.6238 1
N3 N 0.0000 0.4428 0.2500 1
```

***

11.
Diffraction record for SrDy2MoN4. The powder diffractogram is calculated, not measured: it uses a cell relaxed with PBE and copper Kα.
Lines closer than 0.1° are merged.

Main lines, sorted by position (2θ = 10–90°):
(0 2 1), 16.3 deg, 5.433 Å, intensity 22; (0 2 3), 26.5 deg, 3.365 Å, intensity 34; (0 0 4), 29.4 deg, 3.034 Å, intensity 84; (1 1 2), 30.8 deg, 2.904 Å, intensity 100; (0 4 2), 33.0 deg, 2.716 Å, intensity 21; (1 3 1), 35.0 deg, 2.561 Å, intensity 58; (1 3 2), 37.4 deg, 2.406 Å, intensity 70; (0 2 5), 40.0 deg, 2.252 Å, intensity 29; (1 3 5), 51.3 deg, 1.781 Å, intensity 53; (1 5 7), 72.4 deg, 1.305 Å, intensity 23

Cell and atoms:
```
data_SrDy2MoN4
_symmetry_space_group_name_H-M 'C m c m'
_symmetry_Int_Tables_number 63
_symmetry_space_group_name_Hall '-C 2c 2'
_cell_length_a 3.4379
_cell_length_b 12.1538
_cell_length_c 12.1244
_cell_angle_alpha 90.00
_cell_angle_beta 90.00
_cell_angle_gamma 90.00
loop_
_atom_site_label
_atom_site_type_symbol
_atom_site_fract_x
_atom_site_fract_y
_atom_site_fract_z
_atom_site_occupancy
Sr1 Sr 0.0000 0.0803 0.2500 1
Dy1 Dy 0.0000 0.3718 0.0389 1
Mo1 Mo 0.0000 0.1813 0.7500 1
N1 N 0.0000 0.0000 0.0000 1
N2 N 0.0000 0.2604 0.6158 1
N3 N 0.0000 0.4133 0.2500 1
```